No. 1
For CuAg, the PBE geometry in OQMD gives the simulated X-ray powder pattern in this record (Cu Kα (weighted mean of Kα1 and Kα2)).

Largest 10 diffraction maxima, by angle, 15 to 90 degrees two-theta:
d (Å), 2θ/deg, I (rel.), (hkl)
2.261, 39.86, 100, 1 1 -3
2.252, 40.04, 99, 3 1 1
1.995, 45.47, 34, 4 0 -2
1.944, 46.74, 32, 0 2 0
1.927, 47.17, 29, 2 0 4
1.391, 67.29, 29, 4 2 -2
1.368, 68.59, 18, 2 2 4
1.198, 80.09, 11, 5 1 -5
1.194, 80.43, 12, 7 1 -1
1.174, 82.06, 12, 1 3 -3

Structure:
a b c (Å): 8.8387 3.8871 8.7008
angles (deg): 90.00 91.81 90.00
Space group Cm (No. 8)
Inequivalent atoms, fractional coordinates:
Cu 0.0000 0.0000 0.0000 [2 per cell]
Cu 0.0020 0.5000 0.5085 [2 per cell]
Cu 0.2090 0.5000 0.9059 [2 per cell]
Cu 0.2955 0.0000 0.0906 [2 per cell]
Cu 0.3028 0.5000 0.6063 [2 per cell]
Ag 0.0991 0.5000 0.1865 [2 per cell]
Ag 0.1017 0.0000 0.7062 [2 per cell]
Ag 0.2054 0.0000 0.4086 [2 per cell]
Ag 0.4023 0.0000 0.8091 [2 per cell]
Ag 0.4024 0.5000 0.3002 [2 per cell]

***

No. 2
For HfTe2MoAs2, the PBE geometry in OQMD gives the simulated X-ray powder pattern in this record (Cu Kα (weighted mean of Kα1 and Kα2)).

Largest 10 diffraction maxima, by angle, 15 to 90 degrees two-theta:
d (Å), 2θ/deg, I (rel.), (hkl)
4.998, 17.75, 42, 0 1 1
2.798, 31.99, 100, 1 0 3
2.739, 32.70, 54, 1 1 2
2.700, 33.18, 26, 0 2 0
2.499, 35.94, 37, 0 2 2
2.371, 37.96, 61, 0 1 5
2.224, 40.57, 69, 1 1 4
2.137, 42.29, 75, 1 2 1
1.813, 50.32, 27, 2 0 0
1.440, 64.72, 25, 2 1 5

Structure:
a b c (Å): 3.6269 5.4000 13.1917
angles (deg): 90.00 90.00 90.00
Space group Imm2 (No. 44)
Inequivalent atoms, fractional coordinates:
Hf 0.0000 0.0000 0.0000 [2 per cell]
Te 0.0000 0.5000 0.3226 [2 per cell]
Te 0.0000 0.5000 0.9045 [2 per cell]
Mo 0.0000 0.0000 0.2303 [2 per cell]
As 0.0000 0.2525 0.6242 [4 per cell]

***

No. 3
For Li2HfPbF8, the PBE geometry in OQMD gives the simulated X-ray powder pattern in this record (Cu Kα (weighted mean of Kα1 and Kα2)).

Largest 10 diffraction maxima, by angle, 15 to 90 degrees two-theta:
d (Å), 2θ/deg, I (rel.), (hkl)
4.558, 19.47, 100, 1 0 1
2.962, 30.17, 74, 1 1 2
2.898, 30.86, 24, 1 0 3
2.524, 35.58, 14, 2 0 0
2.208, 40.87, 35, 1 2 1
1.957, 46.39, 14, 1 0 5
1.903, 47.80, 24, 2 1 3
1.829, 49.86, 22, 2 0 4
1.585, 58.19, 13, 1 1 6
1.528, 60.58, 24, 3 1 2

Structure:
a b c (Å): 5.0471 5.0471 10.6172
angles (deg): 90.00 90.00 90.00
Space group I-4 (No. 82)
Inequivalent atoms, fractional coordinates:
Li 0.0000 0.0000 0.0000 [2 per cell]
Li 0.0000 0.5000 0.2500 [2 per cell]
Hf 0.0000 0.5000 0.7500 [2 per cell]
Pb 0.0000 0.0000 0.5000 [2 per cell]
F 0.1277 0.7229 0.9072 [8 per cell]
F 0.1867 0.2238 0.3145 [8 per cell]

***

No. 4
For Ho3Lu5Te, the PBE geometry in OQMD gives the simulated X-ray powder pattern in this record (Cu Kα (weighted mean of Kα1 and Kα2)).

Largest 10 diffraction maxima, by angle, 15 to 90 degrees two-theta:
d (Å), 2θ/deg, I (rel.), (hkl)
2.971, 30.08, 38, 2 1 0
2.875, 31.11, 100, 1 1 1
2.700, 33.18, 56, 2 0 1
2.620, 34.23, 78, 3 0 0
2.320, 38.81, 25, 2 1 1
1.936, 46.92, 14, 2 2 1
1.858, 49.04, 16, 0 0 2
1.622, 56.75, 36, 3 2 1
1.515, 61.16, 30, 3 0 2
1.448, 64.35, 14, 5 0 1

Structure:
a b c (Å): 9.0756 9.0756 3.7152
angles (deg): 90.00 90.00 120.00
Space group P-62m (No. 189)
Inequivalent atoms, fractional coordinates:
Ho 0.0000 0.2775 0.0000 [3 per cell]
Lu 0.0000 0.6138 0.5000 [3 per cell]
Lu 0.3333 0.6667 0.0000 [2 per cell]
Te 0.0000 0.0000 0.5000 [1 per cell]